Starting from a DFT-relaxed cell (PBE, Alexandria), the X-ray diffraction stick pattern of LiAc2AlAg6 was simulated for Cu Kα, 1.54184 Å.
No peak broadening, texture or thermal motion is included.

Principal peaks in the range 15 to 90 degrees two-theta, by angle:
18.1 deg, I 16; 29.3 deg, I 52; 30.4 deg, I 34; 32.2 deg, I 100; 36.7 deg, I 50; 38.5 deg, I 27; 53.6 deg, I 18; 55.0 deg, I 17

Structure:
abc: 6.761 6.761 7.125
angles: 118.46 118.46 59.86
Fractional coordinates of all 10 atoms:
Li  0.000  0.000  0.000
Ac  0.218  0.218  0.653
Ac  0.782  0.782  0.347
Al  0.500  0.500  0.500
Ag  0.245  0.245  0.165
Ag  0.245  0.677  0.167
Ag  0.323  0.755  0.833
Ag  0.677  0.245  0.167
Ag  0.755  0.323  0.833
Ag  0.755  0.755  0.835

Starting from a DFT-relaxed cell (PBE, Alexandria), the X-ray diffraction stick pattern of Li2Ac2TlO6 was simulated for Cu Kα, 1.54184 Å.
No peak broadening, texture or thermal motion is included.

Principal peaks in the range 15 to 90 degrees two-theta, by angle:
18.2 deg, I 79; 27.9 deg, I 59; 30.4 deg, I 100; 32.5 deg, I 77; 41.7 deg, I 34; 45.1 deg, I 38; 55.3 deg, I 38; 59.7 deg, I 27

Structure:
abc: 6.434 6.434 6.434
angles: 54.41 54.41 54.41
Fractional coordinates of all 11 atoms:
Li  0.073  0.073  0.073
Li  0.927  0.927  0.927
Ac  0.287  0.287  0.287
Ac  0.713  0.713  0.713
Tl  0.500  0.500  0.500
O  0.248  0.248  0.717
O  0.248  0.717  0.248
O  0.283  0.752  0.752
O  0.717  0.248  0.248
O  0.752  0.283  0.752
O  0.752  0.752  0.283